Entry 1:
For NaIn3S5, a GGA-PBE-relaxed structure gives the simulated powder diffractogram in this record (Cu Ka).

Cell and atoms:
```
data_NaIn3S5
_chemical_formula_sum 'Na4 In12 S20'
_cell_length_a 12.6674
_cell_length_b 16.3202
_cell_length_c 3.8519
_cell_angle_alpha 90.00
_cell_angle_beta 90.00
_cell_angle_gamma 90.00
_symmetry_space_group_name_H-M 'P b a m'
_symmetry_Int_Tables_number 55
loop_
_symmetry_equiv_pos_as_xyz
'x,y,z'
'-x,-y,-z'
'-x,-y,z'
'x,y,-z'
'x+1/2,-y+1/2,-z'
'-x+1/2,y+1/2,z'
'-x+1/2,y+1/2,-z'
'x+1/2,-y+1/2,z'
loop_
_atom_site_label
_atom_site_type_symbol
_atom_site_fract_x
_atom_site_fract_y
_atom_site_fract_z
_atom_site_occupancy
Na1 Na 0.2498 0.1258 0.0000 1
In1 In 0.0000 0.0000 0.0000 1
In2 In 0.0000 0.5000 0.5000 1
In3 In 0.0397 0.3021 0.0000 1
In4 In 0.2074 0.8773 0.5000 1
S1 S 0.0750 0.8425 0.0000 1
S2 S 0.0828 0.6416 0.5000 1
S3 S 0.1376 0.4450 0.0000 1
S4 S 0.1386 0.0248 0.5000 1
S5 S 0.1698 0.2535 0.5000 1
```

Principal peaks in the range 2θ from 10° to 90°, in order of falling intensity:
Position (°2θ)	I (rel.)	index
12.91	1000	1 2 0
46.03	880	5 3 1
33.35	875	3 2 1
31.93	831	3 1 1
25.98	709	2 4 0
29.27	697	1 3 1
27.09	555	2 0 1
50.62	467	0 8 1
47.19	422	0 0 2
35.60	379	3 3 1
13.98	343	2 0 0
41.25	334	1 6 1



Entry 2:
For Na3InS3, a GGA-PBE-relaxed structure gives the simulated powder diffractogram in this record (Cu Ka).

Cell and atoms:
```
data_Na3InS3
_chemical_formula_sum 'Na24 In8 S24'
_cell_length_a 16.1639
_cell_length_b 13.5220
_cell_length_c 7.4670
_cell_angle_alpha 90.00
_cell_angle_beta 117.37
_cell_angle_gamma 90.00
_symmetry_space_group_name_H-M 'C 1 2/c 1'
_symmetry_Int_Tables_number 15
loop_
_symmetry_equiv_pos_as_xyz
'x,y,z'
'-x,-y,-z'
'-x,y,-z+1/2'
'x,-y,z+1/2'
'x+1/2,y+1/2,z'
'-x+1/2,-y+1/2,-z'
'-x+1/2,y+1/2,-z+1/2'
'x+1/2,-y+1/2,z+1/2'
loop_
_atom_site_label
_atom_site_type_symbol
_atom_site_fract_x
_atom_site_fract_y
_atom_site_fract_z
_atom_site_occupancy
Na1 Na 0.0000 0.0640 0.2500 1
Na2 Na 0.0000 0.2222 0.7500 1
Na3 Na 0.0910 0.4180 0.0428 1
Na4 Na 0.2034 0.0665 0.0874 1
In1 In 0.1726 0.2447 0.5965 1
S1 S 0.1069 0.3896 0.6856 1
S2 S 0.1155 0.0892 0.6709 1
S3 S 0.1503 0.2368 0.2376 1
```

Principal peaks in the range 2θ from 10° to 90°, in order of falling intensity:
Position (°2θ)	I (rel.)	index
18.34	1000	1 1 1
13.09	701	0 2 0
41.44	518	3 3 -3
39.99	478	0 6 0
34.63	402	2 0 2
34.14	400	5 3 -1
23.05	349	1 3 -1
18.02	301	2 2 0
23.83	270	2 0 -2
26.21	260	1 3 1
28.39	230	5 1 -1
24.81	208	4 0 0



Entry 3:
For Na2In2SiS6, a GGA-PBE-relaxed structure gives the simulated powder diffractogram in this record (Cu Ka).

Cell and atoms:
```
data_Na2In2SiS6
_chemical_formula_sum 'Na8 In8 Si4 S24'
_cell_length_a 12.2465
_cell_length_b 7.9356
_cell_length_c 12.3806
_cell_angle_alpha 90.00
_cell_angle_beta 108.32
_cell_angle_gamma 90.00
_symmetry_space_group_name_H-M 'C 1 c 1'
_symmetry_Int_Tables_number 9
loop_
_symmetry_equiv_pos_as_xyz
'x,y,z'
'x,-y,z+1/2'
'x+1/2,y+1/2,z'
'x+1/2,-y+1/2,z+1/2'
loop_
_atom_site_label
_atom_site_type_symbol
_atom_site_fract_x
_atom_site_fract_y
_atom_site_fract_z
_atom_site_occupancy
Na1 Na 0.0000 0.0703 0.0000 1
Na2 Na 0.2185 0.3162 0.6619 1
In1 In 0.0346 0.4167 0.3092 1
In2 In 0.3514 0.0590 0.0060 1
Si1 Si 0.2907 0.2192 0.2543 1
S1 S 0.0161 0.2786 0.4816 1
S2 S 0.2169 0.0032 0.3078 1
S3 S 0.2199 0.2456 0.0733 1
S4 S 0.2475 0.4427 0.3329 1
S5 S 0.4148 0.1990 0.6234 1
S6 S 0.4747 0.2234 0.3028 1
```

Principal peaks in the range 2θ from 10° to 90°, in order of falling intensity:
Position (°2θ)	I (rel.)	index
13.51	1000	1 1 0
25.79	424	3 1 -2
23.67	272	0 2 1
28.74	237	2 2 -2
40.47	231	1 3 -3
22.03	221	1 1 2
31.07	211	1 1 -4
29.70	203	4 0 -2
16.61	202	1 1 1
46.38	185	0 0 6
30.42	180	0 0 4
24.70	176	2 0 2



Entry 4:
For Na7In3Se8, a GGA-PBE-relaxed structure gives the simulated powder diffractogram in this record (Cu Ka).

Cell and atoms:
```
data_Na7In3Se8
_chemical_formula_sum 'Na14 In6 Se16'
_cell_length_a 6.8178
_cell_length_b 10.5827
_cell_length_c 13.6885
_cell_angle_alpha 88.52
_cell_angle_beta 90.00
_cell_angle_gamma 89.82
_symmetry_space_group_name_H-M 'P -1'
_symmetry_Int_Tables_number 2
loop_
_symmetry_equiv_pos_as_xyz
'x,y,z'
'-x,-y,-z'
loop_
_atom_site_label
_atom_site_type_symbol
_atom_site_fract_x
_atom_site_fract_y
_atom_site_fract_z
_atom_site_occupancy
Na1 Na 0.0175 0.1239 0.1345 1
Na2 Na 0.0218 0.3610 0.3752 1
Na3 Na 0.2215 0.6102 0.2253 1
Na4 Na 0.2327 0.1136 0.7344 1
Na5 Na 0.2444 0.8599 0.4803 1
Na6 Na 0.2448 0.3721 0.9834 1
Na7 Na 0.3536 0.1253 0.3217 1
In1 In 0.3648 0.8825 0.0645 1
In2 In 0.3673 0.3884 0.5739 1
In3 In 0.3744 0.6564 0.8046 1
Se1 Se 0.2274 0.8374 0.6963 1
Se2 Se 0.2398 0.8852 0.2420 1
Se3 Se 0.2422 0.6679 0.9903 1
Se4 Se 0.2452 0.1685 0.5236 1
Se5 Se 0.2471 0.4256 0.7557 1
Se6 Se 0.2498 0.3426 0.1933 1
Se7 Se 0.2502 0.5767 0.4528 1
Se8 Se 0.2511 0.0813 0.9532 1
```

Principal peaks in the range 2θ from 10° to 90°, in order of falling intensity:
Position (°2θ)	I (rel.)	index
26.12	1000	2 0 0
20.99	720	0 1 3
24.75	645	-1 1 3
41.23	509	0 3 5
34.05	494	0 1 -5
37.24	490	2 0 -4
33.89	489	0 4 0
37.09	476	2 3 1
43.42	452	0 5 -1
16.87	398	1 -1 1
10.70	389	0 1 -1
25.22	342	1 -2 2



Entry 5:
For NaInSn2, a GGA-PBE-relaxed structure gives the simulated powder diffractogram in this record (Cu Ka).

Cell and atoms:
```
data_NaInSn2
_chemical_formula_sum 'Na4 In4 Sn8'
_cell_length_a 6.4683
_cell_length_b 6.6531
_cell_length_c 11.5974
_cell_angle_alpha 90.00
_cell_angle_beta 90.00
_cell_angle_gamma 90.00
_symmetry_space_group_name_H-M 'P 21 21 21'
_symmetry_Int_Tables_number 19
loop_
_symmetry_equiv_pos_as_xyz
'x,y,z'
'-x+1/2,-y,z+1/2'
'x+1/2,-y+1/2,-z'
'-x,y+1/2,-z+1/2'
loop_
_atom_site_label
_atom_site_type_symbol
_atom_site_fract_x
_atom_site_fract_y
_atom_site_fract_z
_atom_site_occupancy
Na1 Na 0.1146 0.1251 0.4369 1
In1 In 0.0996 0.5936 0.6118 1
Sn1 Sn 0.0681 0.1123 0.1231 1
Sn2 Sn 0.2305 0.2326 0.7347 1
```

Principal peaks in the range 2θ from 10° to 90°, in order of falling intensity:
Position (°2θ)	I (rel.)	index
20.61	1000	1 0 2
30.09	701	1 1 3
43.68	433	1 2 4
30.21	380	1 2 0
15.33	366	0 0 2
31.70	341	2 1 1
44.87	339	3 1 1
38.77	318	2 1 3
41.96	283	2 2 2
43.86	224	1 3 1
41.26	200	0 2 4
64.96	181	3 3 3



Entry 6:
For NaInSn4, a GGA-PBE-relaxed structure gives the simulated powder diffractogram in this record (Cu Ka).

Cell and atoms:
```
data_NaInSn4
_chemical_formula_sum 'Na2 In2 Sn8'
_cell_length_a 7.3864
_cell_length_b 7.3864
_cell_length_c 6.1516
_cell_angle_alpha 90.00
_cell_angle_beta 90.00
_cell_angle_gamma 90.00
_symmetry_space_group_name_H-M 'I 4 2 2'
_symmetry_Int_Tables_number 97
_symmetry_space_group_name_Hall 'I 4 2'
loop_
_atom_site_label
_atom_site_type_symbol
_atom_site_fract_x
_atom_site_fract_y
_atom_site_fract_z
_atom_site_occupancy
Na1 Na 0.0000 0.0000 0.0000 1
In1 In 0.0000 0.0000 0.5000 1
Sn1 Sn 0.1491 0.3509 0.2500 1
```

Principal peaks in the range 2θ from 10° to 90°, in order of falling intensity:
Position (°2θ)	I (rel.)	index
30.72	1000	2 1 1
38.54	316	3 1 0
52.53	264	2 1 3
33.82	256	1 1 2
58.28	163	4 0 2
61.17	161	3 3 2
38.07	157	2 0 2
70.32	150	5 2 1
29.03	115	0 0 2
18.77	97	1 0 1
73.77	96	3 1 4
85.09	95	5 2 3



Entry 7:
For Nb3In, a GGA-PBE-relaxed structure gives the simulated powder diffractogram in this record (Cu Ka).

Cell and atoms:
```
data_Nb3In
_chemical_formula_sum 'Nb6 In2'
_cell_length_a 5.3400
_cell_length_b 5.3400
_cell_length_c 5.3400
_cell_angle_alpha 90.00
_cell_angle_beta 90.00
_cell_angle_gamma 90.00
_symmetry_space_group_name_H-M 'P m -3 n'
_symmetry_Int_Tables_number 223
_symmetry_space_group_name_Hall '-P 4n 2 3'
loop_
_atom_site_label
_atom_site_type_symbol
_atom_site_fract_x
_atom_site_fract_y
_atom_site_fract_z
_atom_site_occupancy
Nb1 Nb 0.0000 0.2500 0.5000 1
In1 In 0.0000 0.0000 0.0000 1
```

Principal peaks in the range 2θ from 10° to 90°, in order of falling intensity:
Position (°2θ)	I (rel.)	index
37.67	1000	2 1 0
41.42	943	2 1 1
65.39	468	3 2 1
33.56	426	2 0 0
62.74	216	3 2 0
82.84	193	4 2 1
70.55	168	4 0 0
80.43	129	4 2 0
85.24	112	3 3 2
60.01	65	2 2 2
23.56	19	1 1 0



Entry 8:
For Nb3In, a GGA-PBE-relaxed structure gives the simulated powder diffractogram in this record (Cu Ka).

Cell and atoms:
```
data_Nb3In
_chemical_formula_sum 'Nb6 In2'
_cell_length_a 3.4706
_cell_length_b 4.6869
_cell_length_c 9.4673
_cell_angle_alpha 90.00
_cell_angle_beta 90.00
_cell_angle_gamma 90.00
_symmetry_space_group_name_H-M 'C m m m'
_symmetry_Int_Tables_number 65
_symmetry_space_group_name_Hall '-C 2 2'
loop_
_atom_site_label
_atom_site_type_symbol
_atom_site_fract_x
_atom_site_fract_y
_atom_site_fract_z
_atom_site_occupancy
Nb1 Nb 0.0000 0.0000 0.0000 1
Nb2 Nb 0.0000 0.5000 0.2411 1
In1 In 0.0000 0.0000 0.5000 1
```

Principal peaks in the range 2θ from 10° to 90°, in order of falling intensity:
Position (°2θ)	I (rel.)	index
37.42	1000	1 1 2
38.02	235	0 0 4
38.41	234	0 2 0
68.82	159	1 3 2
68.30	155	1 1 6
55.15	155	0 2 4
79.83	102	2 2 4
52.75	91	2 0 0
67.12	86	2 2 0
66.85	85	2 0 4
89.73	80	3 1 2
82.29	27	0 4 0



Entry 9:
For Nd2NbInO7, a GGA-PBE-relaxed structure gives the simulated powder diffractogram in this record (Cu Ka).

Cell and atoms:
```
data_Nd2NbInO7
_chemical_formula_sum 'Nd8 Nb4 In4 O28'
_cell_length_a 7.4871
_cell_length_b 7.6920
_cell_length_c 10.7516
_cell_angle_alpha 90.00
_cell_angle_beta 90.00
_cell_angle_gamma 90.00
_symmetry_space_group_name_H-M 'I m m a'
_symmetry_Int_Tables_number 74
_symmetry_space_group_name_Hall '-I 2b 2'
loop_
_atom_site_label
_atom_site_type_symbol
_atom_site_fract_x
_atom_site_fract_y
_atom_site_fract_z
_atom_site_occupancy
Nd1 Nd 0.0000 0.0000 0.0000 1
Nd2 Nd 0.2500 0.2500 0.2500 1
Nb1 Nb 0.0000 0.0000 0.5000 1
In1 In 0.2500 0.2500 0.7500 1
O1 O 0.0000 0.2500 0.1274 1
O2 O 0.0000 0.2500 0.4388 1
O3 O 0.0000 0.2500 0.8510 1
O4 O 0.1985 0.0278 0.6242 1
```

Principal peaks in the range 2θ from 10° to 90°, in order of falling intensity:
Position (°2θ)	I (rel.)	index
29.07	1000	2 0 2
28.54	998	0 2 2
33.38	649	0 0 4
47.91	634	2 2 4
56.45	302	2 4 2
57.37	276	4 2 2
47.27	176	0 4 0
56.97	146	2 0 6
48.64	146	4 0 0
56.67	144	0 2 6
77.08	120	2 4 6
77.87	113	4 2 6



Entry 10:
For NbInNi, a GGA-PBE-relaxed structure gives the simulated powder diffractogram in this record (Cu Ka).

Cell and atoms:
```
data_NbInNi
_chemical_formula_sum 'Nb2 In2 Ni2'
_cell_length_a 4.2965
_cell_length_b 4.2864
_cell_length_c 5.8893
_cell_angle_alpha 90.00
_cell_angle_beta 111.25
_cell_angle_gamma 90.00
_symmetry_space_group_name_H-M 'C 1 m 1'
_symmetry_Int_Tables_number 8
loop_
_symmetry_equiv_pos_as_xyz
'x,y,z'
'x,-y,z'
'x+1/2,y+1/2,z'
'x+1/2,-y+1/2,z'
loop_
_atom_site_label
_atom_site_type_symbol
_atom_site_fract_x
_atom_site_fract_y
_atom_site_fract_z
_atom_site_occupancy
Nb1 Nb 0.0000 0.0000 0.0000 1
In1 In 0.2951 0.0000 0.5928 1
Ni1 Ni 0.1311 0.5000 0.2643 1
```

Principal peaks in the range 2θ from 10° to 90°, in order of falling intensity:
Position (°2θ)	I (rel.)	index
38.54	1000	1 1 -2
42.06	216	2 0 -1
42.16	214	0 2 0
61.07	137	2 2 -1
74.61	134	3 1 -3
67.28	134	2 0 -4
30.56	119	1 1 0
32.63	87	0 0 2
49.84	83	0 0 3
67.13	69	2 0 2
74.68	67	1 3 -2
74.45	67	3 1 0



Entry 11:
For NbInO4, a GGA-PBE-relaxed structure gives the simulated powder diffractogram in this record (Cu Ka).

Cell and atoms:
```
data_NbInO4
_chemical_formula_sum 'Nb2 In2 O8'
_cell_length_a 4.9208
_cell_length_b 5.8969
_cell_length_c 5.2235
_cell_angle_alpha 90.00
_cell_angle_beta 90.90
_cell_angle_gamma 90.00
_symmetry_space_group_name_H-M 'P 1 2/c 1'
_symmetry_Int_Tables_number 13
loop_
_symmetry_equiv_pos_as_xyz
'x,y,z'
'-x,-y,-z'
'-x,y,-z+1/2'
'x,-y,z+1/2'
loop_
_atom_site_label
_atom_site_type_symbol
_atom_site_fract_x
_atom_site_fract_y
_atom_site_fract_z
_atom_site_occupancy
Nb1 Nb 0.0000 0.1782 0.2500 1
In1 In 0.5000 0.3191 0.7500 1
O1 O 0.2144 0.1030 0.9373 1
O2 O 0.2603 0.3808 0.4018 1
```

Principal peaks in the range 2θ from 10° to 90°, in order of falling intensity:
Position (°2θ)	I (rel.)	index
29.00	1000	1 1 -1
29.35	962	1 1 1
23.55	462	1 1 0
34.95	296	0 2 1
34.34	279	0 0 2
49.96	264	1 3 0
61.87	256	0 2 3
51.66	212	2 2 1
30.31	186	0 2 0
51.23	183	2 2 -1
50.57	173	2 0 -2
36.52	167	2 0 0